Diffraction record for FeC. The XRD peak list is computed, not measured: it uses the PBE geometry in Alexandria and Cu Kα (λ = 1.5418 Å).

Crystal structure
```
data_FeC
_cell_length_a 3.682
_cell_length_b 5.251
_cell_length_c 7.221
_cell_angle_alpha 90.00
_cell_angle_beta 90.00
_cell_angle_gamma 90.00
_symmetry_space_group_name_H-M 'P 21 21 21'
_symmetry_Int_Tables_number 19
loop_
_symmetry_equiv_pos_as_xyz
'x,y,z'
'-x+1/2,-y,z+1/2'
'x+1/2,-y+1/2,-z'
'-x,y+1/2,-z+1/2'
loop_
_atom_site_label
_atom_site_type_symbol
_atom_site_fract_x
_atom_site_fract_y
_atom_site_fract_z
Fe1 Fe 0.112 0.101 0.457
Fe2 Fe 0.127 0.589 0.723
C1 C 0.099 0.480 0.462
C2 C 0.146 0.072 0.185
```

Main lines, by angle (2θ = 10–90°):
d [Å]	I_rel
4.247	69
2.782	80
2.626	46
2.314	100
2.138	92
2.015	57
1.784	37
1.774	50
1.689	55
1.197	39